No. 1
DyFe2Pd7: computed powder X-ray diffraction pattern (copper Kα), based on a structure optimized by DFT (GGA-PBE).

Main lines, in order of rising 2θ (2θ = 10–90°):
- 2θ 14.19, rel. 496
- 2θ 20.08, rel. 331
- 2θ 24.67, rel. 721
- 2θ 32.00, rel. 506
- 2θ 35.34, rel. 720
- 2θ 38.25, rel. 886
- 2θ 40.82, rel. 669
- 2θ 43.43, rel. 1000
- 2θ 43.66, rel. 984
- 2θ 57.18, rel. 586

Structure:
```
data_DyFe2Pd7
_cell_length_a 7.179
_cell_length_b 7.179
_cell_length_c 4.422
_cell_angle_alpha 90.00
_cell_angle_beta 90.00
_cell_angle_gamma 119.61
_symmetry_space_group_name_H-M 'P 1'
_symmetry_Int_Tables_number 1
_symmetry_space_group_name_Hall 'P 1'
loop_
_atom_site_label
_atom_site_fract_x
_atom_site_fract_y
_atom_site_fract_z
_atom_site_occupancy
Dy1 0.000 0.000 0.000 1
Fe1 0.303 0.697 0.500 1
Fe2 0.697 0.303 0.500 1
Pd1 0.067 0.307 0.500 1
Pd2 0.223 0.777 0.000 1
Pd3 0.307 0.067 0.500 1
Pd4 0.500 0.500 0.500 1
Pd5 0.693 0.933 0.500 1
Pd6 0.777 0.223 0.000 1
Pd7 0.933 0.693 0.500 1
```

---

No. 2
AcPaAsO2: computed powder X-ray diffraction pattern (copper Kα), based on a structure optimized by DFT (GGA-PBE).

Main lines, in order of rising 2θ (2θ = 10–90°):
- 2θ 23.72, rel. 333
- 2θ 27.62, rel. 124
- 2θ 30.85, rel. 1000
- 2θ 32.30, rel. 465
- 2θ 41.91, rel. 114
- 2θ 43.00, rel. 228
- 2θ 46.32, rel. 223
- 2θ 53.92, rel. 129
- 2θ 54.99, rel. 125
- 2θ 56.69, rel. 369

Structure:
```
data_AcPaAsO2
_cell_length_a 7.029
_cell_length_b 7.029
_cell_length_c 7.029
_cell_angle_alpha 147.62
_cell_angle_beta 147.62
_cell_angle_gamma 46.45
_symmetry_space_group_name_H-M 'P 1'
_symmetry_Int_Tables_number 1
_symmetry_space_group_name_Hall 'P 1'
loop_
_atom_site_label
_atom_site_fract_x
_atom_site_fract_y
_atom_site_fract_z
_atom_site_occupancy
Ac1 0.000 0.000 0.000 1
Pa1 0.285 0.285 0.000 1
As1 0.649 0.649 0.000 1
O1 0.375 0.875 0.500 1
O2 0.875 0.375 0.500 1
```

---

No. 3
HoAgPO4: computed powder X-ray diffraction pattern (copper Kα), based on a structure optimized by DFT (GGA-PBE).

Main lines, in order of rising 2θ (2θ = 10–90°):
- 2θ 15.81, rel. 274
- 2θ 18.48, rel. 907
- 2θ 30.95, rel. 1000
- 2θ 31.93, rel. 714
- 2θ 34.15, rel. 414
- 2θ 35.27, rel. 424
- 2θ 37.46, rel. 375
- 2θ 40.24, rel. 616
- 2θ 40.68, rel. 305
- 2θ 58.55, rel. 510

Structure:
```
data_HoAgPO4
_cell_length_a 6.396
_cell_length_b 6.396
_cell_length_c 6.396
_cell_angle_alpha 126.96
_cell_angle_beta 111.13
_cell_angle_gamma 92.19
_symmetry_space_group_name_H-M 'P 1'
_symmetry_Int_Tables_number 1
_symmetry_space_group_name_Hall 'P 1'
loop_
_atom_site_label
_atom_site_fract_x
_atom_site_fract_y
_atom_site_fract_z
_atom_site_occupancy
Ho1 0.000 0.000 0.000 1
Ho2 0.500 0.000 0.500 1
Ag1 0.500 0.000 0.000 1
Ag2 0.500 0.500 0.500 1
P1 0.106 0.356 0.750 1
P2 0.894 0.644 0.250 1
O1 0.167 0.740 0.427 1
O2 0.187 0.260 0.927 1
O3 0.213 0.239 0.526 1
O4 0.213 0.687 0.974 1
O5 0.787 0.313 0.026 1
O6 0.787 0.761 0.474 1
O7 0.813 0.740 0.073 1
O8 0.833 0.260 0.573 1
```